1.
Structure and computed XRD peak list of Nb2N (a structure optimized by DFT (GGA-PBE); λ = 1.5418 Å (Cu Kα)).
Lines closer than 0.1° are merged.

Structural model:
a = 3.157 Å, b = 3.157 Å, c = 4.857 Å
α = 90.00°, β = 90.00°, γ = 120.00°
Fractional coordinates of all 3 atoms:
Nb1 0.333 0.667 0.248
Nb2 0.667 0.333 0.752
N1 0.000 0.000 0.000

Peak list (6 most intense, 10 to 90 degrees two-theta, by intensity)
2.383 Å, I = 100
2.428 Å, I = 20
1.579 Å, I = 20
1.816 Å, I = 18
2.734 Å, I = 18
1.393 Å, I = 18


2.
Structure and computed XRD peak list of Li4CuF7 (a structure optimized by DFT (GGA-PBE); λ = 1.5418 Å (Cu Kα)).
Lines closer than 0.1° are merged.

Structural model:
a = 5.902 Å, b = 5.902 Å, c = 5.902 Å
α = 60.00°, β = 60.00°, γ = 60.00°
Fractional coordinates of all 12 atoms:
Li1 0.123 0.123 0.123
Li2 0.123 0.123 0.631
Li3 0.123 0.631 0.123
Li4 0.631 0.123 0.123
Cu1 0.750 0.750 0.750
F1 0.000 0.000 0.000
F2 0.517 0.517 0.983
F3 0.517 0.983 0.517
F4 0.517 0.983 0.983
F5 0.983 0.517 0.517
F6 0.983 0.517 0.983
F7 0.983 0.983 0.517

Peak list (6 most intense, 10 to 90 degrees two-theta, by intensity)
4.819 Å, I = 100
4.174 Å, I = 68
2.517 Å, I = 48
2.087 Å, I = 39
1.476 Å, I = 31
1.867 Å, I = 25


3.
Structure and computed XRD peak list of PuIn (a structure optimized by DFT (GGA-PBE); λ = 1.5418 Å (Cu Kα)).
Lines closer than 0.1° are merged.

Structural model:
a = 3.312 Å, b = 3.312 Å, c = 5.768 Å
α = 104.59°, β = 104.59°, γ = 63.26°
Fractional coordinates of all 2 atoms:
Pu1 0.000 0.000 0.000
In1 0.500 0.500 0.500

Peak list (6 most intense, 10 to 90 degrees two-theta, by intensity)
2.770 Å, I = 100
2.424 Å, I = 66
2.755 Å, I = 47
2.694 Å, I = 44
2.295 Å, I = 28
5.510 Å, I = 26